Structure and computed PXRD pattern of CaV2O4 (a crystal structure in the Materials Project, relaxed with PBE+U; λ = 1.5418 Å (Cu Kα)).
Kinematic intensities with the Lorentz-polarization factor, no thermal factor.

Most intense lines, 2θ from 10° to 80°, by angle:
2θ = 27.95°, I = 520, hkl 2 0 0; 2θ = 32.78°, I = 685, hkl 1 0 -3; 2θ = 33.36°, I = 500, hkl 1 2 -1; 2θ = 33.49°, I = 1000, hkl 2 1 1; 2θ = 33.72°, I = 525, hkl 1 2 1; 2θ = 40.46°, I = 547, hkl 2 2 0; 2θ = 57.73°, I = 496, hkl 2 2 -4; 2θ = 59.59°, I = 496, hkl 2 2 4

Structure:
```
data_CaV2O4
_space_group_name_H-M_alt 'P 1 m 1'
_space_group_IT_number 6
_cell_length_a 6.3810
_cell_length_b 6.2372
_cell_length_c 8.8943
_cell_angle_alpha 90.00
_cell_angle_beta 92.37
_cell_angle_gamma 90.00
loop_
_space_group_symop_operation_xyz
'x,y,z'
'x,-y,z'
loop_
_atom_site_label
_atom_site_fract_x
_atom_site_fract_y
_atom_site_fract_z
Ca1 0.0000 0.0000 0.0000
Ca2 0.2472 0.0000 0.3775
Ca3 0.4992 0.5000 0.4991
Ca4 0.7467 0.5000 0.8781
V1 0.0031 0.5000 0.5012
V2 0.2493 0.2562 0.7478
V3 0.2597 0.5000 0.1201
V4 0.5034 0.0000 0.0010
V5 0.7496 0.2441 0.2475
V6 0.7603 0.0000 0.6200
O1 0.0054 0.5000 0.2456
O2 0.0261 0.5000 0.7360
O3 0.0298 0.0000 0.7418
O4 0.2237 0.2782 0.5254
O5 0.2703 0.2449 0.9863
O6 0.4477 0.5000 0.7489
O7 0.5058 0.0000 0.7463
O8 0.5264 0.0000 0.2359
O9 0.5293 0.5000 0.2415
O10 0.7238 0.2215 0.0255
O11 0.7709 0.2556 0.4862
O12 0.9477 0.0000 0.2491
```